1.
Diffraction record for SmPuGe2. The PXRD pattern is simulated, not measured: it uses a crystal structure in Alexandria, relaxed with PBE and Cu Kα.

Atomic structure:
Cell: 3.9866 5.9273 5.9273 Å, 43.45 90.00 90.00°
Sites, in units of the cell vectors:
Sm (0.0000, 0.0000, 0.0000)
Pu (0.5000, 0.2833, 0.2833)
Ge (0.0000, 0.7203, 0.7203)
Ge (0.5000, 0.5628, 0.5628)

Principal peaks in the range 10° ≤ 2θ ≤ 80°, low angle first:
27.62 deg, rel. 31; 31.39 deg, rel. 100; 31.78 deg, rel. 44; 32.52 deg, rel. 28; 39.17 deg, rel. 44; 39.79 deg, rel. 18; 41.14 deg, rel. 25; 45.51 deg, rel. 19; 51.80 deg, rel. 14; 56.57 deg, rel. 18; 63.01 deg, rel. 14; 72.70 deg, rel. 16

2.
Diffraction record for Pu6Sn2Ge. The PXRD pattern is simulated, not measured: it uses a crystal structure in Alexandria, relaxed with PBE and Cu Kα.

Atomic structure:
Cell: 8.8839 8.8839 3.2760 Å, 90.00 90.00 120.00°
Sites, in units of the cell vectors:
Pu (0.0000, 0.3277, 0.0000)
Pu (0.0000, 0.6723, 0.0000)
Pu (0.3277, 0.0000, 0.0000)
Pu (0.3277, 0.3277, 0.0000)
Pu (0.6723, 0.0000, 0.0000)
Pu (0.6723, 0.6723, 0.0000)
Sn (0.3333, 0.6667, 0.5000)
Sn (0.6667, 0.3333, 0.5000)
Ge (0.0000, 0.0000, 0.5000)

Principal peaks in the range 10° ≤ 2θ ≤ 80°, low angle first:
19.99 deg, rel. 19; 27.22 deg, rel. 25; 34.00 deg, rel. 76; 34.99 deg, rel. 100; 44.89 deg, rel. 40; 49.59 deg, rel. 27; 56.15 deg, rel. 9; 62.12 deg, rel. 28; 62.75 deg, rel. 19; 67.90 deg, rel. 31; 69.69 deg, rel. 11; 73.91 deg, rel. 12

3.
Diffraction record for PuSnGe. The PXRD pattern is simulated, not measured: it uses a crystal structure in Alexandria, relaxed with PBE and Cu Kα.

Atomic structure:
Cell: 8.1055 8.1055 4.0758 Å, 90.00 90.00 148.04°
Sites, in units of the cell vectors:
Pu (0.0865, 0.9135, 0.7500)
Pu (0.9135, 0.0865, 0.2500)
Sn (0.2587, 0.7413, 0.2500)
Sn (0.7413, 0.2587, 0.7500)
Ge (0.4410, 0.5590, 0.7500)
Ge (0.5590, 0.4410, 0.2500)

Principal peaks in the range 10° ≤ 2θ ≤ 80°, low angle first:
20.70 deg, rel. 12; 24.65 deg, rel. 15; 34.46 deg, rel. 100; 35.12 deg, rel. 11; 40.42 deg, rel. 14; 44.46 deg, rel. 11; 54.19 deg, rel. 10; 57.48 deg, rel. 8; 61.81 deg, rel. 11; 69.67 deg, rel. 15; 72.61 deg, rel. 9; 75.39 deg, rel. 9

4.
Diffraction record for Pu12SnGe5. The PXRD pattern is simulated, not measured: it uses a crystal structure in Alexandria, relaxed with PBE and Cu Kα.

Atomic structure:
Cell: 8.4389 8.4389 8.4389 Å, 114.86 112.09 101.74°
Sites, in units of the cell vectors:
Pu (0.0361, 0.8196, 0.2165)
Pu (0.2411, 0.5455, 0.3044)
Pu (0.2411, 0.9366, 0.6956)
Pu (0.2753, 0.3069, 0.5822)
Pu (0.2753, 0.6931, 0.9683)
Pu (0.3970, 0.1804, 0.2165)
Pu (0.6030, 0.8196, 0.7835)
Pu (0.7247, 0.3069, 0.0317)
Pu (0.7247, 0.6931, 0.4178)
Pu (0.7589, 0.0634, 0.3044)
Pu (0.7589, 0.4545, 0.6956)
Pu (0.9639, 0.1804, 0.7835)
Sn (0.5000, 0.0000, 0.5000)
Ge (0.0000, 0.1415, 0.1415)
Ge (0.0000, 0.5000, 0.5000)
Ge (0.0000, 0.8585, 0.8585)
Ge (0.3787, 0.3787, 0.0000)
Ge (0.6213, 0.6213, 0.0000)

Principal peaks in the range 10° ≤ 2θ ≤ 80°, low angle first:
25.23 deg, rel. 17; 26.96 deg, rel. 15; 30.69 deg, rel. 14; 32.11 deg, rel. 100; 33.09 deg, rel. 42; 33.66 deg, rel. 18; 35.40 deg, rel. 33; 36.25 deg, rel. 27; 38.20 deg, rel. 35; 39.22 deg, rel. 16; 60.39 deg, rel. 19; 60.52 deg, rel. 15

5.
Diffraction record for Pu6SnGe2. The PXRD pattern is simulated, not measured: it uses a crystal structure in Alexandria, relaxed with PBE and Cu Kα.

Atomic structure:
Cell: 3.8320 7.3457 7.5166 Å, 70.12 89.43 80.71°
Sites, in units of the cell vectors:
Pu (0.0140, 0.4111, 0.3511)
Pu (0.1127, 0.1536, 0.0178)
Pu (0.1813, 0.8947, 0.6715)
Pu (0.8187, 0.1053, 0.3285)
Pu (0.8873, 0.8464, 0.9822)
Pu (0.9860, 0.5889, 0.6489)
Sn (0.5000, 0.5000, 0.0000)
Ge (0.4195, 0.7750, 0.3227)
Ge (0.5805, 0.2250, 0.6773)

Principal peaks in the range 10° ≤ 2θ ≤ 80°, low angle first:
21.00 deg, rel. 35; 23.55 deg, rel. 51; 31.68 deg, rel. 21; 33.86 deg, rel. 100; 34.65 deg, rel. 76; 36.00 deg, rel. 53; 37.22 deg, rel. 52; 37.65 deg, rel. 39; 38.24 deg, rel. 68; 40.95 deg, rel. 20; 53.79 deg, rel. 28; 54.42 deg, rel. 18

6.
Diffraction record for Pu5Tc2Ge2. The PXRD pattern is simulated, not measured: it uses a crystal structure in Alexandria, relaxed with PBE and Cu Kα.

Atomic structure:
Cell: 8.7496 8.3343 5.1336 Å, 76.99 68.14 34.87°
Sites, in units of the cell vectors:
Pu (0.0000, 0.0000, 0.0000)
Pu (0.1471, 0.1471, 0.3529)
Pu (0.3529, 0.3529, 0.1471)
Pu (0.6471, 0.6471, 0.8529)
Pu (0.8529, 0.8529, 0.6471)
Tc (0.3353, 0.6647, 0.3353)
Tc (0.6647, 0.3353, 0.6647)
Ge (0.2454, 0.2454, 0.7546)
Ge (0.7546, 0.7546, 0.2454)

Principal peaks in the range 10° ≤ 2θ ≤ 80°, low angle first:
21.73 deg, rel. 42; 31.05 deg, rel. 25; 31.85 deg, rel. 92; 34.79 deg, rel. 30; 36.34 deg, rel. 84; 36.46 deg, rel. 21; 37.15 deg, rel. 100; 41.40 deg, rel. 19; 44.30 deg, rel. 24; 51.19 deg, rel. 20; 59.15 deg, rel. 32; 69.16 deg, rel. 21